# 1
# Si3Ir2
Simulated X-ray powder pattern, Cu Ka. Input: a DFT-relaxed cell (GGA-PBE, Alexandria).
Kinematic intensities with the Lorentz-polarization factor, no thermal factor.

Structural model:
```
Si3Ir2
1.0
0.000 6.258 2.240
5.240 0.000 2.240
5.240 6.258 0.000
Si Ir
6 4
direct
0.000 0.000 0.000
0.250 0.250 0.250
0.397 0.531 0.692
0.531 0.397 0.380
0.558 0.870 0.853
0.870 0.558 0.719
0.124 0.849 0.708
0.542 0.930 0.126
0.849 0.124 0.320
0.930 0.542 0.401
```

Principal peaks in the range 10 to 90 degrees two-theta, sorted by position:
22.1 deg, I 33
22.7 deg, I 51
30.5 deg, I 100
33.3 deg, I 46
34.2 deg, I 21
39.2 deg, I 56
42.9 deg, I 22
44.0 deg, I 31
46.9 deg, I 37
48.5 deg, I 29
60.7 deg, I 22
71.6 deg, I 21

***

# 2
# Si5Ir4
Simulated X-ray powder pattern, Cu Ka. Input: a DFT-relaxed cell (GGA-PBE, Alexandria).
Kinematic intensities with the Lorentz-polarization factor, no thermal factor.

Structural model:
```
Si5Ir4
1.0
5.940 0.000 0.000
0.000 3.649 0.000
-2.184 0.000 12.264
Si Ir
10 8
direct
0.005 0.250 0.078
0.031 0.250 0.775
0.144 0.750 0.637
0.391 0.750 0.425
0.474 0.250 0.141
0.526 0.750 0.859
0.609 0.250 0.575
0.856 0.250 0.363
0.969 0.750 0.225
0.995 0.750 0.922
0.200 0.250 0.499
0.207 0.250 0.269
0.283 0.250 0.951
0.396 0.250 0.727
0.604 0.750 0.273
0.717 0.750 0.049
0.793 0.750 0.731
0.800 0.750 0.501
```

Principal peaks in the range 10 to 90 degrees two-theta, sorted by position:
24.3 deg, I 16
28.8 deg, I 100
29.1 deg, I 43
30.4 deg, I 12
30.6 deg, I 14
39.4 deg, I 13
42.7 deg, I 32
43.4 deg, I 41
45.0 deg, I 26
46.5 deg, I 11
48.1 deg, I 12
50.0 deg, I 22

***

# 3
# SmSi4Ir4
Simulated X-ray powder pattern, Cu Ka. Input: a DFT-relaxed cell (GGA-PBE, Alexandria).
Kinematic intensities with the Lorentz-polarization factor, no thermal factor.

Structural model:
```
SmSi4Ir4
1.0
-4.382 4.382 2.047
4.382 -4.382 2.047
4.382 4.382 -2.047
Sm Si Ir
1 4 4
direct
0.000 0.000 0.000
0.225 0.334 0.560
0.334 0.775 0.109
0.666 0.225 0.891
0.775 0.666 0.440
0.149 0.588 0.737
0.412 0.149 0.562
0.588 0.851 0.438
0.851 0.412 0.263
```

Principal peaks in the range 10 to 90 degrees two-theta, sorted by position:
14.3 deg, I 32
31.6 deg, I 100
32.3 deg, I 45
43.3 deg, I 38
44.2 deg, I 18
46.3 deg, I 14
48.2 deg, I 11
53.3 deg, I 11
55.8 deg, I 20
57.2 deg, I 20
66.0 deg, I 10
73.5 deg, I 9

***

# 4
# Sm3Si2Ir
Simulated X-ray powder pattern, Cu Ka. Input: a DFT-relaxed cell (GGA-PBE, Alexandria).
Kinematic intensities with the Lorentz-polarization factor, no thermal factor.

Structural model:
```
Sm3Si2Ir
1.0
3.940 2.275 5.711
-3.940 2.275 5.711
0.000 -4.550 5.711
Sm Si Ir
6 4 2
direct
0.062 0.750 0.438
0.250 0.562 0.938
0.438 0.062 0.750
0.562 0.938 0.250
0.750 0.438 0.062
0.938 0.250 0.562
0.146 0.146 0.146
0.354 0.354 0.354
0.646 0.646 0.646
0.854 0.854 0.854
0.000 0.000 0.000
0.500 0.500 0.500
```

Principal peaks in the range 10 to 90 degrees two-theta, sorted by position:
16.6 deg, I 21
24.5 deg, I 13
27.5 deg, I 100
28.1 deg, I 18
39.0 deg, I 55
39.6 deg, I 58
48.9 deg, I 18
53.5 deg, I 16
56.8 deg, I 18
64.7 deg, I 14
71.4 deg, I 17
79.2 deg, I 13

***

# 5
# SmSi12Ir4
Simulated X-ray powder pattern, Cu Ka. Input: a DFT-relaxed cell (GGA-PBE, Alexandria).
Kinematic intensities with the Lorentz-polarization factor, no thermal factor.

Structural model:
```
SmSi12Ir4
1.0
-4.174 4.174 4.174
4.174 -4.174 4.174
4.174 4.174 -4.174
Sm Si Ir
1 12 4
direct
0.000 0.000 0.000
0.151 0.354 0.505
0.151 0.646 0.796
0.204 0.849 0.354
0.354 0.204 0.849
0.354 0.505 0.151
0.495 0.849 0.646
0.505 0.151 0.354
0.646 0.495 0.849
0.646 0.796 0.151
0.796 0.151 0.646
0.849 0.354 0.204
0.849 0.646 0.495
0.000 0.000 0.500
0.000 0.500 0.000
0.500 0.000 0.000
0.500 0.500 0.500
```

Principal peaks in the range 10 to 90 degrees two-theta, sorted by position:
21.3 deg, I 50
30.3 deg, I 100
34.0 deg, I 16
37.3 deg, I 18
40.4 deg, I 12
43.4 deg, I 18
48.8 deg, I 38
53.8 deg, I 53
63.0 deg, I 11
71.5 deg, I 21
75.5 deg, I 9
87.4 deg, I 21

***

# 6
# Sm2Si4Ir3
Simulated X-ray powder pattern, Cu Ka. Input: a DFT-relaxed cell (GGA-PBE, Alexandria).
Kinematic intensities with the Lorentz-polarization factor, no thermal factor.

Structural model:
```
Sm2Si4Ir3
1.0
2.828 -7.428 0.000
2.828 7.428 0.000
0.000 0.000 7.258
Sm Si Ir
4 8 6
direct
0.107 0.893 0.906
0.393 0.607 0.406
0.607 0.393 0.594
0.893 0.107 0.094
0.182 0.818 0.523
0.187 0.313 0.750
0.313 0.187 0.250
0.318 0.682 0.023
0.682 0.318 0.977
0.687 0.813 0.750
0.813 0.687 0.250
0.818 0.182 0.477
0.000 0.000 0.500
0.023 0.477 0.750
0.477 0.023 0.250
0.500 0.500 0.000
0.523 0.977 0.750
0.977 0.523 0.250
```

Principal peaks in the range 10 to 90 degrees two-theta, sorted by position:
26.9 deg, I 67
27.4 deg, I 100
33.9 deg, I 68
34.5 deg, I 41
36.2 deg, I 40
36.3 deg, I 95
38.4 deg, I 34
39.2 deg, I 32
40.4 deg, I 90
47.6 deg, I 29
56.4 deg, I 30
72.8 deg, I 24

***

# 7
# Sm2Si7Ir12
Simulated X-ray powder pattern, Cu Ka. Input: a DFT-relaxed cell (GGA-PBE, Alexandria).
Kinematic intensities with the Lorentz-polarization factor, no thermal factor.

Structural model:
```
Sm2Si7Ir12
1.0
9.772 0.000 0.000
-4.886 8.463 0.000
0.000 0.000 3.912
Sm Si Ir
2 7 12
direct
0.333 0.667 0.249
0.667 0.333 0.751
0.000 0.000 0.000
0.114 0.404 0.748
0.290 0.886 0.748
0.404 0.290 0.252
0.596 0.710 0.748
0.710 0.114 0.252
0.886 0.596 0.252
0.061 0.619 0.749
0.117 0.855 0.246
0.145 0.262 0.246
0.262 0.117 0.754
0.381 0.443 0.749
0.443 0.061 0.251
0.557 0.939 0.749
0.619 0.557 0.251
0.738 0.883 0.246
0.855 0.738 0.754
0.883 0.145 0.754
0.939 0.381 0.251
```

Principal peaks in the range 10 to 90 degrees two-theta, sorted by position:
27.9 deg, I 19
29.2 deg, I 10
36.3 deg, I 100
45.0 deg, I 13
46.4 deg, I 17
46.8 deg, I 19
49.3 deg, I 13
68.0 deg, I 12
70.1 deg, I 9
74.0 deg, I 9
79.3 deg, I 11
83.7 deg, I 9

***

# 8
# Sm2Si5Ir3
Simulated X-ray powder pattern, Cu Ka. Input: a DFT-relaxed cell (GGA-PBE, Alexandria).
Kinematic intensities with the Lorentz-polarization factor, no thermal factor.

Structural model:
```
Sm2Si5Ir3
1.0
5.799 -5.794 0.000
5.799 5.794 0.000
-2.973 0.000 5.083
Sm Si Ir
4 10 6
direct
0.101 0.361 0.231
0.361 0.101 0.731
0.639 0.899 0.269
0.899 0.639 0.769
0.001 0.999 0.750
0.239 0.452 0.845
0.273 0.727 0.750
0.274 0.726 0.250
0.452 0.239 0.345
0.548 0.761 0.655
0.726 0.274 0.750
0.727 0.273 0.250
0.761 0.548 0.155
0.999 0.001 0.250
0.026 0.748 0.386
0.252 0.974 0.114
0.500 0.500 0.250
0.500 0.500 0.750
0.748 0.026 0.886
0.974 0.252 0.614
```

Principal peaks in the range 10 to 90 degrees two-theta, sorted by position:
24.6 deg, I 26
24.7 deg, I 50
27.8 deg, I 25
30.4 deg, I 20
30.9 deg, I 17
32.6 deg, I 39
34.6 deg, I 100
35.3 deg, I 18
35.4 deg, I 17
35.8 deg, I 34
43.8 deg, I 65
57.3 deg, I 20